Entry 1:
# YMgPd
Theoretical X-ray diffraction stick pattern, Cu Ka. Input: a structure optimized by DFT (GGA-PBE).
Kinematic intensities with the Lorentz-polarization factor, no thermal factor.

Cell lengths 7.4714, 7.4714, 4.0922 Å; angles 90.00, 90.00, 120.00 degrees
Space group P-62m (No. 189)
Asymmetric unit:
Y 0.0000 0.5883 0.0000 x3
Mg 0.0000 0.2448 0.5000 x3
Pd 0.0000 0.0000 0.0000 x1
Pd 0.3333 0.6667 0.5000 x2

Top 10 peaks for 2θ from 10° to 80°, in order of rising 2θ:
2theta	intensity	h k l
23.8	42	1 1 0
25.8	21	1 0 1
32.5	67	1 1 1
35.4	100	2 0 1
41.9	37	3 0 0
43.1	34	2 1 1
44.3	23	0 0 2
50.9	21	3 1 0
62.6	23	3 0 2
67.1	25	3 2 1



Entry 2:
# AlGaBr4
Theoretical X-ray diffraction stick pattern, Cu Ka. Input: a structure optimized by DFT (GGA-PBE).
Kinematic intensities with the Lorentz-polarization factor, no thermal factor.

Cell lengths 7.6402, 10.1872, 10.3349 Å; angles 90.00, 90.00, 90.00 degrees
Space group Pnna (No. 52)
Asymmetric unit:
Al 0.1768 0.2500 0.2500 x4
Ga 0.2500 0.0000 0.6784 x4
Br 0.0035 0.0440 0.8143 x8
Br 0.1573 0.6812 0.9483 x8

Top 10 peaks for 2θ from 10° to 80°, in order of rising 2θ:
2theta	intensity	h k l
14.4	66	1 0 1
22.5	50	1 1 2
24.5	100	0 2 2
26.4	60	2 1 1
27.7	48	0 3 1
30.1	51	1 3 1
30.4	50	2 1 2
36.2	75	2 1 3
44.3	44	2 3 3
51.0	73	4 2 0



Entry 3:
# Ti2FeB2Ru4Rh
Theoretical X-ray diffraction stick pattern, Cu Ka. Input: a structure optimized by DFT (GGA-PBE).
Kinematic intensities with the Lorentz-polarization factor, no thermal factor.

Cell lengths 9.1527, 2.9449, 9.2421 Å; angles 90.00, 90.20, 90.00 degrees
Space group P2/m (No. 10)
Asymmetric unit:
Ti 0.1752 0.0000 0.1803 x2
Ti 0.3247 0.0000 0.6714 x2
Fe 0.0000 0.0000 0.5000 x1
Fe 0.5000 0.0000 0.0000 x1
B 0.1223 0.0000 0.8734 x2
B 0.3751 0.0000 0.3746 x2
Ru 0.0000 0.5000 0.0000 x1
Ru 0.0748 0.5000 0.7126 x2
Ru 0.2113 0.5000 0.4260 x2
Ru 0.4268 0.5000 0.2103 x2
Ru 0.5000 0.5000 0.5000 x1
Rh 0.2867 0.5000 0.9269 x2

Top 10 peaks for 2θ from 10° to 80°, in order of rising 2θ:
2theta	intensity	h k l
30.4	66	0 1 0
37.5	58	2 1 -1
40.3	62	1 0 4
40.6	60	4 0 1
41.4	41	2 1 -2
43.7	84	1 1 -3
43.8	100	3 1 -1
47.1	37	2 1 3
47.2	38	3 1 2
63.1	30	0 2 0



Entry 4:
# Gd3BeCrS7
Theoretical X-ray diffraction stick pattern, Cu Ka. Input: a structure optimized by DFT (GGA-PBE).
Kinematic intensities with the Lorentz-polarization factor, no thermal factor.

Cell lengths 9.7316, 9.7316, 5.9355 Å; angles 90.00, 90.00, 120.00 degrees
Space group P6_3 (No. 173)
Asymmetric unit:
Gd 0.1389 0.7487 0.0000 x6
Be 0.3333 0.6667 0.5842 x2
Cr 0.0000 0.0000 0.2286 x2
S 0.0791 0.8548 0.4740 x6
S 0.1064 0.5173 0.7217 x6
S 0.3333 0.6667 0.2318 x2

Top 10 peaks for 2θ from 10° to 80°, in order of rising 2θ:
2theta	intensity	h k l
18.3	65	1 0 1
23.6	45	1 1 1
25.9	73	2 0 1
28.0	62	2 1 0
35.4	70	3 0 1
37.1	31	2 0 2
41.6	100	2 1 2
49.6	55	1 4 0
52.1	26	4 1 1
69.7	20	3 4 1



Entry 5:
# LiAl4Zn2O8
Theoretical X-ray diffraction stick pattern, Cu Ka. Input: a structure optimized by DFT (GGA-PBE).
Kinematic intensities with the Lorentz-polarization factor, no thermal factor.

Cell lengths 5.7571, 5.8496, 8.8698 Å; angles 90.00, 90.00, 90.00 degrees
Space group Imm2 (No. 44)
Asymmetric unit:
Li 0.0000 0.0000 0.0000 x2
Al 0.0000 0.0000 0.2715 x2
Al 0.0000 0.2565 0.6087 x4
Al 0.0000 0.5000 0.9638 x2
Zn 0.2197 0.5000 0.3145 x4
O 0.0000 0.2419 0.8430 x4
O 0.0000 0.2484 0.3921 x4
O 0.2334 0.0000 0.5908 x4
O 0.2405 0.5000 0.6331 x4

Top 10 peaks for 2θ from 10° to 80°, in order of rising 2θ:
2theta	intensity	h k l
18.2	91	0 1 1
20.0	45	0 0 2
30.6	33	0 2 0
34.0	62	0 1 3
35.9	41	1 2 1
36.2	100	2 1 1
44.1	66	2 2 0
46.7	36	2 1 3
61.6	52	2 2 4
63.6	38	0 4 0



Entry 6:
# ZrMoW
Theoretical X-ray diffraction stick pattern, Cu Ka. Input: a structure optimized by DFT (GGA-PBE).
Kinematic intensities with the Lorentz-polarization factor, no thermal factor.

Cell lengths 5.3941, 5.4315, 7.6571 Å; angles 90.00, 90.00, 90.00 degrees
Space group Imma (No. 74)
Asymmetric unit:
Zr 0.0000 0.2500 0.1250 x4
Mo 0.2500 0.2500 0.7500 x4
W 0.0000 0.0000 0.5000 x4

Top 10 peaks for 2θ from 10° to 80°, in order of rising 2θ:
2theta	intensity	h k l
20.1	35	1 0 1
33.1	13	1 1 2
33.2	11	2 0 0
39.0	100	1 2 1
39.1	25	2 1 1
40.7	33	0 2 2
40.9	32	2 0 2
47.5	14	2 2 0
63.2	21	3 2 1
69.4	24	2 2 4



Entry 7:
# Tl4SiSe4
Theoretical X-ray diffraction stick pattern, Cu Ka. Input: a structure optimized by DFT (GGA-PBE).
Kinematic intensities with the Lorentz-polarization factor, no thermal factor.

Cell lengths 12.1798, 7.4927, 25.2845 Å; angles 90.00, 99.76, 90.00 degrees
Space group C2/c (No. 15)
Asymmetric unit:
Tl 0.0000 0.0000 0.0000 x4
Tl 0.0000 0.1751 0.2500 x4
Tl 0.1154 0.2095 0.8250 x8
Tl 0.1853 0.4641 0.4999 x8
Tl 0.1952 0.1428 0.6636 x8
Si 0.0635 0.3770 0.1235 x8
Se 0.0173 0.3575 0.5777 x8
Se 0.0932 0.2021 0.3817 x8
Se 0.1479 0.4534 0.2087 x8
Se 0.1901 0.2223 0.0827 x8

Top 10 peaks for 2θ from 10° to 80°, in order of rising 2θ:
2theta	intensity	h k l
21.4	43	0 0 6
24.8	45	0 2 2
27.1	93	3 1 -4
27.3	40	3 1 2
27.8	54	0 2 4
28.7	71	3 1 -5
28.9	43	3 1 3
29.8	100	1 1 7
42.7	51	3 3 0
43.6	41	0 0 12



Entry 8:
# Zr2Al3Co
Theoretical X-ray diffraction stick pattern, Cu Ka. Input: a structure optimized by DFT (GGA-PBE).
Kinematic intensities with the Lorentz-polarization factor, no thermal factor.

Cell lengths 5.2653, 5.2653, 12.4687 Å; angles 90.00, 90.00, 120.00 degrees
Space group R-3m (No. 166, hexagonal axes)
Asymmetric unit:
Zr 0.0000 0.0000 0.1282 x6
Al 0.0000 0.5000 0.0000 x9
Co 0.0000 0.0000 0.5000 x3

Top 10 peaks for 2θ from 10° to 80°, in order of rising 2θ:
2theta	intensity	h k l
21.4	25	0 0 3
34.1	77	1 1 0
34.9	33	1 0 4
40.2	21	0 2 1
40.6	100	1 1 3
41.3	39	0 1 5
65.4	23	3 0 3
65.9	18	1 2 5
71.7	18	2 2 0
73.6	16	2 0 8



Entry 9:
# CoReB
Theoretical X-ray diffraction stick pattern, Cu Ka. Input: a structure optimized by DFT (GGA-PBE).
Kinematic intensities with the Lorentz-polarization factor, no thermal factor.

Cell lengths 5.6266, 3.2916, 6.5077 Å; angles 90.00, 90.00, 90.00 degrees
Space group Pnma (No. 62)
Asymmetric unit:
Co 0.1455 0.2500 0.0557 x4
Re 0.0289 0.2500 0.6718 x4
B 0.2316 0.7500 0.8753 x4

Top 10 peaks for 2θ from 10° to 80°, in order of rising 2θ:
2theta	intensity	h k l
20.9	18	1 0 1
30.4	57	0 1 1
31.8	38	2 0 0
42.2	100	1 1 2
42.5	15	2 0 2
44.6	59	2 1 1
44.8	43	1 0 3
50.7	13	3 0 1
55.9	18	0 2 0
74.3	19	1 2 3



Entry 10:
# Dy12Al7Si
Theoretical X-ray diffraction stick pattern, Cu Ka. Input: a structure optimized by DFT (GGA-PBE).
Kinematic intensities with the Lorentz-polarization factor, no thermal factor.

Cell lengths 11.6664, 11.6664, 15.2596 Å; angles 90.00, 90.00, 90.00 degrees
Space group I4/mcm (No. 140)
Asymmetric unit:
Dy 0.0000 0.5000 0.1477 x8
Dy 0.0644 0.2001 0.1364 x32
Dy 0.1700 0.3300 0.5000 x8
Al 0.0000 0.0000 0.0000 x4
Al 0.1177 0.3823 0.0000 x8
Al 0.1784 0.3216 0.2964 x16
Si 0.0000 0.0000 0.2500 x4

Top 10 peaks for 2θ from 10° to 80°, in order of rising 2θ:
2theta	intensity	h k l
23.3	40	0 0 4
24.1	28	3 1 0
24.4	42	2 1 3
32.2	97	4 1 1
32.6	38	3 3 0
32.8	48	3 2 3
33.8	100	3 1 4
36.3	28	4 1 3
53.0	44	4 1 7
55.3	25	6 2 4



Entry 11:
# TiTl2W
Theoretical X-ray diffraction stick pattern, Cu Ka. Input: a structure optimized by DFT (GGA-PBE).
Kinematic intensities with the Lorentz-polarization factor, no thermal factor.

Cell lengths 6.7924, 6.7924, 6.7924 Å; angles 90.00, 90.00, 90.00 degrees
Space group Fm-3m (No. 225)
Asymmetric unit:
Ti 0.0000 0.0000 0.0000 x4
Tl 0.2500 0.2500 0.2500 x8
W 0.0000 0.0000 0.5000 x4

Top 10 peaks for 2θ from 10° to 80°, in order of rising 2θ:
2theta	intensity	h k l
22.7	11	1 1 1
26.2	9	2 0 0
37.4	100	2 2 0
44.2	6	3 1 1
46.3	3	2 2 2
54.0	18	4 0 0
59.3	3	3 3 1
61.0	4	4 2 0
67.6	36	4 2 2
79.9	11	4 4 0